(1)
Theoretical powder diffraction line list of TaCl2 for λ = 1.5418 Å (Cu Kα), from the PBE geometry in Alexandria.
Peak positions follow from Bragg's law for the DFT cell and can differ from measured ones.

Cell and atoms:
```
data_TaCl2
_chemical_formula_sum 'Ta4 Cl8'
_symmetry_space_group_name_H-M 'P 1'
_symmetry_Int_Tables_number 1
_symmetry_space_group_name_Hall 'P 1'
_cell_length_a 14.828
_cell_length_b 3.176
_cell_length_c 8.168
_cell_angle_alpha 90.00
_cell_angle_beta 109.84
_cell_angle_gamma 90.00
loop_
_atom_site_label
_atom_site_fract_x
_atom_site_fract_y
_atom_site_fract_z
_atom_site_occupancy
Ta1 0.023 0.000 0.165 1
Ta2 0.477 0.500 0.835 1
Ta3 0.523 0.500 0.165 1
Ta4 0.977 0.000 0.835 1
Cl1 0.088 0.500 0.774 1
Cl2 0.156 0.500 0.270 1
Cl3 0.344 0.000 0.730 1
Cl4 0.412 0.000 0.226 1
Cl5 0.588 0.000 0.774 1
Cl6 0.656 0.000 0.270 1
Cl7 0.844 0.500 0.730 1
Cl8 0.912 0.500 0.226 1
```

Main lines, by angle (2θ from 10° to 80°):
2θ/deg, Rel. int.
11.52, 35
12.69, 100
13.96, 50
23.15, 22
33.94, 19
34.19, 26
41.67, 18
45.48, 16

---

(2)
Theoretical powder diffraction line list of Ta5Cl3 for λ = 1.5418 Å (Cu Kα), from the PBE geometry in Alexandria.
Peak positions follow from Bragg's law for the DFT cell and can differ from measured ones.

Cell and atoms:
```
data_Ta5Cl3
_chemical_formula_sum 'Ta10 Cl6'
_symmetry_space_group_name_H-M 'P 1'
_symmetry_Int_Tables_number 1
_symmetry_space_group_name_Hall 'P 1'
_cell_length_a 9.897
_cell_length_b 10.067
_cell_length_c 2.915
_cell_angle_alpha 90.00
_cell_angle_beta 90.00
_cell_angle_gamma 90.00
loop_
_atom_site_label
_atom_site_fract_x
_atom_site_fract_y
_atom_site_fract_z
_atom_site_occupancy
Ta1 0.000 0.000 0.000 1
Ta2 0.226 0.500 0.500 1
Ta3 0.250 0.250 0.000 1
Ta4 0.250 0.750 0.000 1
Ta5 0.274 0.000 0.500 1
Ta6 0.500 0.500 0.000 1
Ta7 0.726 0.000 0.500 1
Ta8 0.750 0.250 0.000 1
Ta9 0.750 0.750 0.000 1
Ta10 0.774 0.500 0.500 1
Cl1 0.000 0.210 0.500 1
Cl2 0.000 0.500 0.000 1
Cl3 0.000 0.790 0.500 1
Cl4 0.500 0.000 0.000 1
Cl5 0.500 0.290 0.500 1
Cl6 0.500 0.710 0.500 1
```

Main lines, by angle (2θ from 10° to 80°):
2θ/deg, Rel. int.
17.93, 29
28.47, 12
35.65, 44
36.31, 28
40.13, 100
51.80, 25
67.09, 18
67.90, 16

---

(3)
Theoretical powder diffraction line list of ThTaCl for λ = 1.5418 Å (Cu Kα), from the PBE geometry in Alexandria.
Peak positions follow from Bragg's law for the DFT cell and can differ from measured ones.

Cell and atoms:
```
data_ThTaCl
_chemical_formula_sum 'Th2 Ta2 Cl2'
_symmetry_space_group_name_H-M 'P 1'
_symmetry_Int_Tables_number 1
_symmetry_space_group_name_Hall 'P 1'
_cell_length_a 3.766
_cell_length_b 5.159
_cell_length_c 7.899
_cell_angle_alpha 97.57
_cell_angle_beta 103.73
_cell_angle_gamma 90.01
loop_
_atom_site_label
_atom_site_fract_x
_atom_site_fract_y
_atom_site_fract_z
_atom_site_occupancy
Th1 0.000 0.000 0.000 1
Th2 0.299 0.819 0.595 1
Ta1 0.459 0.482 0.918 1
Ta2 0.841 0.330 0.679 1
Cl1 0.192 0.289 0.388 1
Cl2 0.621 0.759 0.243 1
```

Main lines, by angle (2θ from 10° to 80°):
2θ/deg, Rel. int.
11.64, 100
30.53, 86
33.19, 79
35.48, 71
35.71, 63
40.28, 32
48.36, 43
61.37, 33

---

(4)
Theoretical powder diffraction line list of Ta3Tl2Cl9 for λ = 1.5418 Å (Cu Kα), from the PBE geometry in Alexandria.
Peak positions follow from Bragg's law for the DFT cell and can differ from measured ones.

Cell and atoms:
```
data_Ta3Tl2Cl9
_chemical_formula_sum 'Ta6 Tl4 Cl18'
_symmetry_space_group_name_H-M 'P 1'
_symmetry_Int_Tables_number 1
_symmetry_space_group_name_Hall 'P 1'
_cell_length_a 9.982
_cell_length_b 9.982
_cell_length_c 9.793
_cell_angle_alpha 102.77
_cell_angle_beta 102.77
_cell_angle_gamma 117.30
loop_
_atom_site_label
_atom_site_fract_x
_atom_site_fract_y
_atom_site_fract_z
_atom_site_occupancy
Ta1 0.044 0.214 0.639 1
Ta2 0.119 0.119 0.377 1
Ta3 0.214 0.044 0.639 1
Ta4 0.786 0.956 0.361 1
Ta5 0.881 0.881 0.623 1
Ta6 0.956 0.786 0.361 1
Tl1 0.228 0.547 0.170 1
Tl2 0.453 0.772 0.830 1
Tl3 0.547 0.228 0.170 1
Tl4 0.772 0.453 0.830 1
Cl1 0.088 0.885 0.189 1
Cl2 0.104 0.491 0.821 1
Cl3 0.115 0.912 0.811 1
Cl4 0.193 0.397 0.519 1
Cl5 0.203 0.797 0.500 1
Cl6 0.270 0.270 0.222 1
Cl7 0.311 0.311 0.831 1
Cl8 0.397 0.193 0.519 1
Cl9 0.491 0.104 0.821 1
Cl10 0.509 0.896 0.179 1
Cl11 0.603 0.807 0.481 1
Cl12 0.689 0.689 0.169 1
Cl13 0.730 0.730 0.778 1
Cl14 0.797 0.203 0.500 1
Cl15 0.807 0.603 0.481 1
Cl16 0.885 0.088 0.189 1
Cl17 0.896 0.509 0.179 1
Cl18 0.912 0.115 0.811 1
```

Main lines, by angle (2θ from 10° to 80°):
2θ/deg, Rel. int.
10.75, 64
11.63, 100
14.41, 69
17.20, 89
18.24, 64
24.01, 54
32.04, 54
32.69, 64